Starting from a cell relaxed with PBE, the X-ray powder pattern of Zr3Ge was calculated for Cu Ka.
Peak positions follow from Bragg's law for the DFT cell and can differ from measured ones.

Main lines, low angle first (5 to 70 degrees two-theta):
2θ (°), I_rel, hkl
33.71, 24, 2 0 0
35.57, 27, 0 0 2
38.26, 100, 2 0 1
49.81, 15, 2 0 2
60.29, 17, 2 2 0
65.66, 20, 2 0 3

Structural model:
```
data_Zr3Ge
_chemical_formula_sum 'Zr6 Ge2'
_space_group_name_H-M_alt 'P 63/m m c'
_space_group_IT_number 194
_space_group_name_Hall '-P 6c 2c'
_cell_length_a 6.1403
_cell_length_b 6.1403
_cell_length_c 5.0481
_cell_angle_alpha 90.00
_cell_angle_beta 90.00
_cell_angle_gamma 120.00
loop_
_atom_site_label
_atom_site_type_symbol
_atom_site_fract_x
_atom_site_fract_y
_atom_site_fract_z
_atom_site_occupancy
Zr1 Zr 0.1707 0.3414 0.2500 1
Ge1 Ge 0.3333 0.6667 0.7500 1
```